The following is a theoretical X-ray diffraction stick pattern of K3TaNbCu3S8. It was derived from DFT lattice parameters and positions (GGA-PBE), using Cu Kα (λ = 1.5418 Å).

Structure:
```
K3TaNbCu3S8
1.0
12.0593 -2.7928 0.0000
12.0593 2.7928 0.0000
-6.7873 0.0000 12.6965
K Ta Nb Cu S
6 2 2 6 16
Cartesian
22.4211 0.0000 3.1709
-5.0899 0.0000 9.5256
6.2024 0.3019 1.8729
2.8166 -0.3188 8.2310
11.1288 0.3019 10.8237
14.5146 -0.3188 4.4655
5.8844 1.1464 6.0345
11.4469 1.1464 6.6620
2.4912 -1.1518 12.3831
14.8400 -1.1518 0.3134
2.5860 1.6393 12.3806
8.6656 1.1712 6.3483
14.7452 1.6393 0.3159
5.9778 -1.6447 6.0293
12.0593 -1.1741 0.0000
11.3534 -1.6447 6.6672
1.2813 0.3206 1.4934
-2.6232 0.2295 11.8133
-2.1009 -0.3367 7.8494
0.7727 -0.2487 5.4711
1.2927 0.2493 11.0136
4.6823 -0.2403 4.6676
10.5118 0.1681 1.1409
7.1057 -0.1645 7.4920
6.8194 0.1681 11.5556
10.2256 -0.1645 5.2045
16.0385 0.2493 1.6829
12.6489 -0.2403 8.0290
19.9544 0.2295 0.8833
16.0499 0.3206 11.2031
16.5585 -0.2487 7.2255
19.4321 -0.3367 4.8471
```

Main lines, in order of falling intensity (2θ from 15° to 90°):
Position (°2θ)	I/Imax
15.92	100
16.67	72
25.18	64
26.46	57
17.05	56
30.54	56
35.10	40
51.58	37
44.25	37
43.15	37

---

The following is a theoretical X-ray diffraction stick pattern of SmDyH4. It was derived from DFT lattice parameters and positions (GGA-PBE), using Cu Kα (λ = 1.5418 Å).

Structure:
```
SmDyH4
1.0
-2.6335 2.6335 5.2934
2.6335 -2.6335 5.2934
2.6335 2.6335 -5.2934
Sm Dy H
2 2 8
Cartesian
2.6335 1.3167 1.3234
0.0000 1.3167 3.9701
2.6335 -1.3167 3.9701
0.0000 3.9502 1.3234
1.2694 0.0000 0.0000
3.9976 0.0000 0.0000
1.3167 2.5861 -2.6467
1.3167 -0.0474 2.6467
1.2694 2.6335 0.0000
1.3641 0.0000 5.2934
-1.3167 2.6808 2.6467
1.3167 2.6808 2.6467
```

Main lines, in order of falling intensity (2θ from 15° to 90°):
Position (°2θ)	I/Imax
29.32	100
34.04	32
58.06	29
48.78	25
33.87	16
57.82	15
48.91	13
60.82	12
79.06	12
81.73	11

---

The following is a theoretical X-ray diffraction stick pattern of TbTm3Bi4. It was derived from DFT lattice parameters and positions (GGA-PBE), using Cu Kα (λ = 1.5418 Å).

Structure:
```
TbTm3Bi4
1.0
6.2832 0.0000 0.0000
0.0000 6.2832 0.0000
0.0000 0.0000 6.2832
Tb Tm Bi
1 3 4
Cartesian
0.0000 0.0000 0.0000
0.0000 3.1416 3.1416
3.1416 0.0000 3.1416
3.1416 3.1416 0.0000
0.0000 0.0000 3.1416
0.0000 3.1416 0.0000
3.1416 0.0000 0.0000
3.1416 3.1416 3.1416
```

Main lines, in order of falling intensity (2θ from 15° to 90°):
Position (°2θ)	I/Imax
28.41	100
40.61	78
66.56	37
50.31	28
73.90	28
58.78	13
87.91	9
24.54	2
48.03	1
64.66	1

---

The following is a theoretical X-ray diffraction stick pattern of HoTm3Cd2. It was derived from DFT lattice parameters and positions (GGA-PBE), using Cu Kα (λ = 1.5418 Å).

Structure:
```
HoTm3Cd2
1.0
3.5487 0.0000 0.0000
0.0000 3.5487 0.0000
0.0000 0.0000 12.9813
Ho Tm Cd
1 3 2
Cartesian
0.0000 0.0000 0.0000
1.7744 1.7744 2.4572
1.7744 1.7744 6.4907
1.7744 1.7744 10.5242
0.0000 0.0000 4.5061
0.0000 0.0000 8.4752
```

Main lines, in order of falling intensity (2θ from 15° to 90°):
Position (°2θ)	I/Imax
32.63	100
35.78	43
62.31	34
56.13	16
51.50	15
41.75	10
68.37	9
86.78	7
85.01	7
70.47	5

---

The following is a theoretical X-ray diffraction stick pattern of LiHfF5. It was derived from DFT lattice parameters and positions (GGA-PBE), using Cu Kα (λ = 1.5418 Å).

Structure:
```
LiHfF5
1.0
-2.0526 3.4106 3.8520
2.0526 -3.4106 3.8520
2.0526 3.4106 -3.8520
Li Hf F
1 1 5
Cartesian
0.0000 0.0000 0.0000
0.0000 0.0000 3.8520
2.0526 1.4302 0.0000
0.0000 0.0000 1.8665
0.0000 3.4106 0.0000
0.0000 0.0000 5.8374
0.0000 1.9804 3.8520
```

Main lines, in order of falling intensity (2θ from 15° to 90°):
Position (°2θ)	I/Imax
17.36	100
24.57	50
25.32	47
23.09	33
41.44	30
26.13	26
37.42	16
47.76	15
34.53	14
45.61	14

---

The following is a theoretical X-ray diffraction stick pattern of Ba8Au4Cl. It was derived from DFT lattice parameters and positions (GGA-PBE), using Cu Kα (λ = 1.5418 Å).

Structure:
```
Ba8Au4Cl
1.0
11.7468 -2.3794 0.0000
11.7468 2.3794 0.0000
-10.5748 0.0000 11.9720
Ba Au Cl
8 4 1
Cartesian
0.0000 0.0000 0.0000
-7.2176 0.0000 8.8142
-2.7318 0.0000 11.1301
0.5420 0.0000 8.0565
4.4409 0.0000 4.7790
8.1788 0.0000 7.2759
15.8914 0.0000 0.6671
19.7410 0.0000 3.1001
6.0030 0.0000 1.9135
2.8786 0.0000 10.3887
10.6259 0.0000 9.5442
18.0698 0.0000 6.0037
10.0581 0.0000 1.6625
```

Main lines, in order of falling intensity (2θ from 15° to 90°):
Position (°2θ)	I/Imax
38.64	100
28.27	89
25.10	76
24.08	73
33.80	59
29.74	56
37.81	53
61.55	46
22.39	40
30.46	37

---

The following is a theoretical X-ray diffraction stick pattern of ErH4IrPd2. It was derived from DFT lattice parameters and positions (GGA-PBE), using Cu Kα (λ = 1.5418 Å).

Structure:
```
ErH4IrPd2
1.0
4.7364 0.0000 0.0000
-0.8858 4.6535 0.0000
-1.9242 -2.3256 3.6826
Er H Ir Pd
1 4 1 2
Cartesian
0.0000 0.0000 0.0000
-0.7384 -1.0519 2.0774
-0.4036 2.0091 3.5706
1.0431 1.4094 1.5956
3.9759 2.3053 0.1117
-0.4416 2.3249 1.8419
0.0000 0.0039 3.6809
2.3658 0.0027 1.8429
```

Main lines, in order of falling intensity (2θ from 15° to 90°):
Position (°2θ)	I/Imax
34.60	100
38.55	76
38.70	75
64.54	33
64.85	33
72.43	24
49.50	19
49.99	18
22.60	17
83.00	17

---

The following is a theoretical X-ray diffraction stick pattern of PmDy2Y7. It was derived from DFT lattice parameters and positions (GGA-PBE), using Cu Kα (λ = 1.5418 Å).

Structure:
```
PmDy2Y7
1.0
3.2391 -14.7587 0.0000
3.2391 14.7587 0.0000
0.0000 0.0000 3.4553
Pm Dy Y
1 2 7
Cartesian
0.0000 0.0000 0.0000
3.2391 8.6435 1.7277
3.2391 -8.6435 1.7277
1.5899 2.9696 1.7277
3.2391 5.6060 0.0000
1.5899 -2.9696 1.7277
3.2391 0.0000 1.7277
4.8883 2.9696 1.7277
3.2391 -5.6060 0.0000
4.8883 -2.9696 1.7277
```

Main lines, in order of falling intensity (2θ from 15° to 90°):
Position (°2θ)	I/Imax
30.70	100
30.28	69
30.13	63
36.36	62
33.10	55
62.23	32
50.70	26
31.64	23
54.64	20
25.78	19